Structure and calculated X-ray powder pattern of HgBrCl (a cell relaxed with GGA-PBE; Cu Kα (weighted mean of Kα1 and Kα2)).
Intensities are scaled so that the largest is 100.

Structural model:
a b c (Å): 4.291 7.435 13.595
angles (deg): 90.00 90.00 90.00
Space group P2_12_12_1 (No. 19)
Inequivalent atoms, fractional coordinates:
Hg1 0.062 0.087 0.370
Br1 0.209 0.331 0.765
Cl1 0.095 0.990 0.998

Largest 10 diffraction maxima, by angle, 10 to 90 degrees two-theta:
2θ 13.6, I 30, hkl 0 1 1; 2θ 17.7, I 100, hkl 0 1 2; 2θ 21.7, I 30, hkl 1 0 1; 2θ 24.8, I 94, hkl 0 2 1; 2θ 27.3, I 42, hkl 1 1 2; 2θ 31.1, I 65, hkl 1 1 3; 2θ 41.1, I 24, hkl 1 1 5; 2θ 41.7, I 45, hkl 0 1 6; 2θ 44.3, I 30, hkl 1 3 2; 2θ 53.3, I 28, hkl 0 4 3